No. 1
The following is a simulated X-ray diffraction stick pattern of Rb6Au2Se. It was derived from a cell relaxed with PBE, using λ = 1.5418 Å (Cu Kα).

Structure:
a b c (Å): 5.8852 8.3448 17.6294
angles (deg): 90.00 90.00 90.00
Space group Immm (No. 71)
Asymmetric unit:
Rb: 0.0000 0.2362 0.0000 (multiplicity 4)
Rb: 0.0000 0.2577 0.3385 (multiplicity 8)
Au: 0.0000 0.5000 0.1643 (multiplicity 4)
Se: 0.0000 0.5000 0.5000 (multiplicity 2)

The 10 most intense peaks (10 to 80 degrees two-theta), low angle first:
- 2θ = 18.5°, I 50
- 2θ = 30.4°, I 100
- 2θ = 35.7°, I 20
- 2θ = 35.8°, I 10
- 2θ = 43.5°, I 12
- 2θ = 47.6°, I 11
- 2θ = 53.9°, I 26
- 2θ = 54.0°, I 13
- 2θ = 63.1°, I 10
- 2θ = 71.8°, I 11

No. 2
The following is a simulated X-ray diffraction stick pattern of RbSiAuSe3. It was derived from a cell relaxed with PBE, using λ = 1.5418 Å (Cu Kα).

Structure:
a b c (Å): 16.2011 6.3049 8.7983
angles (deg): 90.00 116.72 90.00
Space group C2/m (No. 12)
Asymmetric unit:
Rb: 0.2401 0.0000 0.2460 (multiplicity 4)
Si: 0.0250 0.5000 0.1487 (multiplicity 4)
Au: 0.0000 0.2413 0.5000 (multiplicity 4)
Se: 0.0696 0.2430 0.8114 (multiplicity 8)
Se: 0.1748 0.5000 0.3097 (multiplicity 4)

The 10 most intense peaks (10 to 80 degrees two-theta), low angle first:
- 2θ = 11.3°, I 33
- 2θ = 12.2°, I 54
- 2θ = 12.4°, I 34
- 2θ = 21.9°, I 80
- 2θ = 30.4°, I 22
- 2θ = 30.6°, I 25
- 2θ = 31.0°, I 100
- 2θ = 36.1°, I 19
- 2θ = 44.5°, I 19
- 2θ = 45.0°, I 18

No. 3
The following is a simulated X-ray diffraction stick pattern of Rb2SnAuSe4. It was derived from a cell relaxed with PBE, using λ = 1.5418 Å (Cu Kα).

Structure:
a b c (Å): 6.9650 12.9554 24.5104
angles (deg): 90.00 90.00 90.00
Space group Fddd (No. 70, origin choice 2)
Asymmetric unit:
Rb: 0.1250 0.1250 0.3094 (multiplicity 16)
Sn: 0.1250 0.1250 0.1250 (multiplicity 8)
Au: 0.1250 0.1250 0.6250 (multiplicity 8)
Se: 0.1158 0.2816 0.4369 (multiplicity 32)

The 10 most intense peaks (10 to 80 degrees two-theta), low angle first:
- 2θ = 14.5°, I 67
- 2θ = 15.5°, I 100
- 2θ = 25.8°, I 51
- 2θ = 26.6°, I 98
- 2θ = 29.1°, I 42
- 2θ = 32.6°, I 38
- 2θ = 33.8°, I 84
- 2θ = 38.7°, I 38
- 2θ = 45.2°, I 35
- 2θ = 49.7°, I 38

No. 4
The following is a simulated X-ray diffraction stick pattern of RbSrAuSe2. It was derived from a cell relaxed with PBE, using λ = 1.5418 Å (Cu Kα).

Structure:
a b c (Å): 8.3435 16.1814 5.5236
angles (deg): 90.00 90.00 90.00
Space group Cmme (No. 67)
Asymmetric unit:
Rb: 0.0000 0.2500 0.2167 (multiplicity 4)
Sr: 0.2500 0.0000 0.5000 (multiplicity 4)
Au: 0.0000 0.0000 0.0000 (multiplicity 4)
Se: 0.0000 0.1186 0.7214 (multiplicity 8)

The 10 most intense peaks (10 to 80 degrees two-theta), low angle first:
- 2θ = 10.9°, I 100
- 2θ = 21.3°, I 66
- 2θ = 25.4°, I 60
- 2θ = 26.8°, I 45
- 2θ = 29.0°, I 69
- 2θ = 34.3°, I 39
- 2θ = 34.9°, I 67
- 2θ = 39.5°, I 27
- 2θ = 43.2°, I 25
- 2θ = 44.8°, I 27

No. 5
The following is a simulated X-ray diffraction stick pattern of RbUAuSe2. It was derived from a cell relaxed with PBE, using λ = 1.5418 Å (Cu Kα).

Structure:
a b c (Å): 7.9900 5.0037 7.6434
angles (deg): 90.00 90.08 90.00
Space group P2/c (No. 13)
Asymmetric unit:
Rb: 0.0000 0.0009 0.2500 (multiplicity 2)
U: 0.5000 0.5000 0.2500 (multiplicity 2)
Au: 0.5000 0.0000 0.0000 (multiplicity 2)
Se: 0.2404 0.4999 0.9996 (multiplicity 4)

The 10 most intense peaks (10 to 80 degrees two-theta), low angle first:
- 2θ = 11.1°, I 100
- 2θ = 22.3°, I 25
- 2θ = 31.5°, I 94
- 2θ = 35.9°, I 28
- 2θ = 37.2°, I 55
- 2θ = 45.3°, I 30
- 2θ = 45.4°, I 14
- 2θ = 61.8°, I 14
- 2θ = 66.1°, I 14
- 2θ = 78.4°, I 14

No. 6
The following is a simulated X-ray diffraction stick pattern of RbU4Au3Se12. It was derived from a cell relaxed with PBE, using λ = 1.5418 Å (Cu Kα).

Structure:
a b c (Å): 10.3611 10.3611 10.3611
angles (deg): 90.00 90.00 90.00
Space group Im-3 (No. 204)
Asymmetric unit:
Rb: 0.0000 0.0000 0.0000 (multiplicity 2)
U: 0.2500 0.2500 0.2500 (multiplicity 8)
Au: 0.0000 0.0000 0.5000 (multiplicity 6)
Se: 0.0000 0.3108 0.1747 (multiplicity 24)

The 10 most intense peaks (10 to 80 degrees two-theta), low angle first:
- 2θ = 24.3°, I 100
- 2θ = 27.2°, I 17
- 2θ = 32.3°, I 10
- 2θ = 34.6°, I 40
- 2θ = 42.8°, I 87
- 2θ = 49.8°, I 20
- 2θ = 51.4°, I 10
- 2θ = 56.1°, I 27
- 2θ = 67.7°, I 30
- 2θ = 78.3°, I 34

No. 7
The following is a simulated X-ray diffraction stick pattern of Rb2WAuSe4. It was derived from a cell relaxed with PBE, using λ = 1.5418 Å (Cu Kα).

Structure:
a b c (Å): 5.8787 14.5081 24.6215
angles (deg): 90.00 90.00 90.00
Space group Fddd (No. 70, origin choice 2)
Asymmetric unit:
Rb: 0.1250 0.1250 0.3060 (multiplicity 16)
W: 0.1250 0.1250 0.6250 (multiplicity 8)
Au: 0.1250 0.1250 0.1250 (multiplicity 8)
Se: 0.0931 0.2748 0.8162 (multiplicity 32)

The 10 most intense peaks (10 to 80 degrees two-theta), low angle first:
- 2θ = 14.2°, I 100
- 2θ = 14.4°, I 61
- 2θ = 24.9°, I 53
- 2θ = 26.2°, I 36
- 2θ = 30.0°, I 30
- 2θ = 32.9°, I 26
- 2θ = 37.6°, I 41
- 2θ = 40.2°, I 27
- 2θ = 43.4°, I 26
- 2θ = 48.8°, I 25

No. 8
The following is a simulated X-ray diffraction stick pattern of Rb2SiAu5. It was derived from a cell relaxed with PBE, using λ = 1.5418 Å (Cu Kα).

Structure:
a b c (Å): 6.2756 6.2756 10.8689
angles (deg): 90.00 90.00 90.00
Space group I4mm (No. 107)
Asymmetric unit:
Rb: 0.0000 0.5000 0.0000 (multiplicity 4)
Si: 0.0000 0.0000 0.3333 (multiplicity 2)
Au: 0.0000 0.0000 0.5681 (multiplicity 2)
Au: 0.2366 0.2366 0.7536 (multiplicity 8)

The 10 most intense peaks (10 to 80 degrees two-theta), low angle first:
- 2θ = 16.3°, I 42
- 2θ = 28.4°, I 9
- 2θ = 33.0°, I 100
- 2θ = 40.7°, I 31
- 2θ = 44.1°, I 25
- 2θ = 53.3°, I 20
- 2θ = 58.9°, I 18
- 2θ = 66.7°, I 6
- 2θ = 69.1°, I 29
- 2θ = 76.4°, I 13